Computed powder diffractogram
Compound: KS
Radiation: Cu Kα
Structure: a structure optimized by DFT (PBE)
Peak positions follow from Bragg's law for the DFT cell and can differ from measured ones.

Cell and atoms:
Unit cell a=7.0210 b=7.0210 c=5.9988 alpha=90.00 beta=90.00 gamma=90.00
Element x y z (fractional)
K 0.2070 0.2070 0.0000
K 0.2930 0.7070 0.5000
K 0.7070 0.2930 0.5000
K 0.7930 0.7930 0.0000
S 0.1081 0.1081 0.5000
S 0.3919 0.6081 0.0000
S 0.6081 0.3919 0.0000
S 0.8919 0.8919 0.5000

The 10 most intense peaks (2θ from 10° to 90°), by intensity:
| d (Å) | I/Imax |
| --- | --- |
| 3.140 | 100 |
| 2.999 | 72 |
| 2.082 | 69 |
| 2.169 | 63 |
| 3.825 | 61 |
| 4.965 | 56 |
| 4.561 | 40 |
| 3.510 | 32 |
| 1.367 | 25 |
| 1.853 | 25 |